This entry pairs a crystal structure of CsMnF3 with its simulated powder XRD pattern. Radiation: λ = 1.5418 Å (Cu Kα). Structure: a PBE+U-relaxed structure.

Crystal structure
Cell lengths 11.543, 11.543, 11.543 Å; angles 90.00, 90.00, 90.00 degrees
Space group Fd-3m (No. 227, origin choice 2)
Symmetry-distinct sites (fractional):
Cs1 0.000 0.000 0.000 (multiplicity 16)
Mn1 0.000 0.000 0.500 (multiplicity 16)
F1 0.067 0.375 0.875 (multiplicity 48)

The 8 most intense peaks (2θ from 5° to 70°), by angle:
3.480 Å, 2θ = 25.6°, I = 11, (3 1 1); 3.332 Å, 2θ = 26.8°, I = 100, (2 2 2); 2.886 Å, 2θ = 31.0°, I = 30, (4 0 0); 2.648 Å, 2θ = 33.8°, I = 15, (3 3 1); 2.221 Å, 2θ = 40.6°, I = 10, (5 1 1); 2.041 Å, 2θ = 44.4°, I = 46, (4 4 0); 1.740 Å, 2θ = 52.6°, I = 44, (6 2 2); 1.666 Å, 2θ = 55.1°, I = 12, (4 4 4)

This entry pairs a crystal structure of CsMnF3 with its simulated powder XRD pattern. Radiation: λ = 1.5418 Å (Cu Kα). Structure: a PBE+U-relaxed structure.

Crystal structure
Cell lengths 6.3251, 6.3251, 15.3661 Å; angles 90.00, 90.00, 120.00 degrees
Space group P6_3/mmc (No. 194)
Symmetry-distinct sites (fractional):
Cs1 0.0000 0.0000 0.2500 (multiplicity 2)
Cs2 0.3333 0.6667 0.0977 (multiplicity 4)
Mn1 0.0000 0.0000 0.0000 (multiplicity 2)
Mn2 0.3333 0.6667 0.6518 (multiplicity 4)
F1 0.0446 0.5223 0.7500 (multiplicity 6)
F2 0.1654 0.3308 0.5793 (multiplicity 12)

The 8 most intense peaks (2θ from 5° to 70°), by angle:
3.741 Å, 2θ = 23.8°, I = 33, (1 0 3); 3.163 Å, 2θ = 28.2°, I = 100, (1 1 0); 3.145 Å, 2θ = 28.4°, I = 71, (1 0 4); 2.580 Å, 2θ = 34.8°, I = 16, (2 0 2); 2.415 Å, 2θ = 37.2°, I = 32, (2 0 3); 2.230 Å, 2θ = 40.4°, I = 49, (2 0 4); 1.824 Å, 2θ = 50.0°, I = 49, (3 0 0); 1.581 Å, 2θ = 58.4°, I = 24, (2 2 0)

This entry pairs a crystal structure of Cs3Mn2F9 with its simulated powder XRD pattern. Radiation: λ = 1.5418 Å (Cu Kα). Structure: a PBE+U-relaxed structure.

Crystal structure
Cell lengths 11.1335, 11.1335, 15.3915 Å; angles 90.00, 90.00, 120.00 degrees
Space group R-3c (No. 167, hexagonal axes)
Symmetry-distinct sites (fractional):
Cs1 0.0000 0.3434 0.2500 (multiplicity 18)
Mn1 0.0000 0.0000 0.1542 (multiplicity 12)
F1 0.0000 0.1313 0.7500 (multiplicity 18)
F2 0.0025 0.1533 0.4034 (multiplicity 36)

The 8 most intense peaks (2θ from 5° to 70°), by angle:
3.773 Å, 2θ = 23.6°, I = 100, (1 1 3); 3.214 Å, 2θ = 27.8°, I = 75, (3 0 0); 2.447 Å, 2θ = 36.7°, I = 78, (2 2 3); 2.330 Å, 2θ = 38.6°, I = 18, (1 1 6); 1.947 Å, 2θ = 46.7°, I = 24, (1 4 3); 1.886 Å, 2θ = 48.2°, I = 20, (2 2 6); 1.627 Å, 2θ = 56.6°, I = 18, (1 4 6); 1.607 Å, 2θ = 57.3°, I = 17, (6 0 0)

This entry pairs a crystal structure of CsMn3F9 with its simulated powder XRD pattern. Radiation: λ = 1.5418 Å (Cu Kα). Structure: a PBE+U-relaxed structure.

Crystal structure
Cell lengths 7.7054, 7.7054, 3.9710 Å; angles 90.00, 90.00, 120.00 degrees
Space group P6/mmm (No. 191)
Symmetry-distinct sites (fractional):
Cs1 0.0000 0.0000 0.0000 (multiplicity 1)
Mn1 0.0000 0.5000 0.5000 (multiplicity 3)
F1 0.0000 0.5000 0.0000 (multiplicity 3)
F2 0.2055 0.4109 0.5000 (multiplicity 6)

The 8 most intense peaks (2θ from 5° to 70°), by angle:
3.412 Å, 2θ = 26.1°, I = 70, (1 0 1); 3.337 Å, 2θ = 26.7°, I = 100, (2 0 0); 2.765 Å, 2θ = 32.4°, I = 43, (1 1 1); 1.941 Å, 2θ = 46.8°, I = 21, (3 0 1); 1.926 Å, 2θ = 47.2°, I = 33, (2 2 0); 1.706 Å, 2θ = 53.7°, I = 26, (2 0 2); 1.678 Å, 2θ = 54.7°, I = 21, (3 1 1); 1.383 Å, 2θ = 67.8°, I = 20, (2 2 2)

This entry pairs a crystal structure of CsMnF3 with its simulated powder XRD pattern. Radiation: λ = 1.5418 Å (Cu Kα). Structure: a PBE+U-relaxed structure.

Crystal structure
Cell lengths 4.279, 6.613, 7.132 Å; angles 90.00, 107.58, 90.00 degrees
Space group P2_1/m (No. 11)
Symmetry-distinct sites (fractional):
Cs1 0.204 0.250 0.406 (multiplicity 2)
Mn1 0.486 0.250 0.974 (multiplicity 2)
F1 0.015 0.750 0.029 (multiplicity 2)
F2 0.393 0.515 0.787 (multiplicity 4)

The 8 most intense peaks (2θ from 5° to 70°), by angle:
4.741 Å, 2θ = 18.7°, I = 27, (0 1 1); 3.474 Å, 2θ = 25.6°, I = 100, (1 1 0); 3.306 Å, 2θ = 27.0°, I = 40, (0 2 0); 3.112 Å, 2θ = 28.7°, I = 34, (1 0 -2); 3.024 Å, 2θ = 29.5°, I = 47, (0 1 2); 2.370 Å, 2θ = 38.0°, I = 27, (0 2 2); 2.266 Å, 2θ = 39.8°, I = 48, (1 2 -2); 2.141 Å, 2θ = 42.2°, I = 31, (2 0 -1)

This entry pairs a crystal structure of CsMnMoO3F3 with its simulated powder XRD pattern. Radiation: λ = 1.5418 Å (Cu Kα). Structure: a PBE+U-relaxed structure.

Crystal structure
Cell lengths 10.499, 10.749, 7.536 Å; angles 90.00, 132.74, 90.00 degrees
Space group C2/c (No. 15)
Symmetry-distinct sites (fractional):
Cs1 0.000 0.125 0.250 (multiplicity 4)
Mn1 0.250 0.250 0.000 (multiplicity 4)
Mo1 0.000 0.500 0.000 (multiplicity 4)
O1 0.000 0.458 0.250 (multiplicity 4)
O2 0.157 0.374 0.106 (multiplicity 8)
F1 0.000 0.166 0.750 (multiplicity 4)
F2 0.198 0.380 0.728 (multiplicity 8)

The 8 most intense peaks (2θ from 5° to 70°), by angle:
3.856 Å, 2θ = 23.1°, I = 99, (2 0 0); 3.335 Å, 2θ = 26.7°, I = 54, (1 1 1); 3.289 Å, 2θ = 27.1°, I = 100, (1 1 -2); 3.249 Å, 2θ = 27.4°, I = 93, (1 3 0); 3.166 Å, 2θ = 28.2°, I = 87, (3 1 -2); 3.133 Å, 2θ = 28.5°, I = 52, (2 2 0); 1.928 Å, 2θ = 47.1°, I = 73, (0 4 2); 1.877 Å, 2θ = 48.5°, I = 50, (4 4 -2)